# 1
# Pb2Cl3O
Theoretical powder XRD pattern, Cu Kα X-rays. Input: the PBE geometry in Alexandria.
Peak positions follow from Bragg's law for the DFT cell and can differ from measured ones.

Top 12 peaks for 2θ from 10° to 90°, sorted by position:
| h k l | d [Å] | 2θ (°) | I_rel |
| --- | --- | --- | --- |
| 1 1 0 | 6.092 | 14.5 | 53 |
| 2 0 0 | 5.276 | 16.8 | 63 |
| 2 1 0 | 3.988 | 22.3 | 42 |
| 1 0 1 | 3.721 | 23.9 | 24 |
| 2 0 1 | 3.175 | 28.1 | 100 |
| 2 2 0 | 3.046 | 29.3 | 27 |
| 1 3 0 | 2.927 | 30.5 | 29 |
| 1 2 1 | 2.816 | 31.8 | 35 |
| 3 0 1 | 2.635 | 34.0 | 30 |
| 3 1 1 | 2.357 | 38.2 | 34 |
| 4 0 1 | 2.198 | 41.1 | 24 |
| 3 2 1 | 2.068 | 43.8 | 27 |

```
data_Pb2Cl3O
_chemical_formula_sum 'Pb6 Cl9 O3'
_cell_length_a 12.1847
_cell_length_b 12.1847
_cell_length_c 3.9763
_cell_angle_alpha 90.00
_cell_angle_beta 90.00
_cell_angle_gamma 120.00
_symmetry_space_group_name_H-M 'P -6'
_symmetry_Int_Tables_number 174
_symmetry_space_group_name_Hall 'P -6'
loop_
_atom_site_label
_atom_site_type_symbol
_atom_site_fract_x
_atom_site_fract_y
_atom_site_fract_z
Pb1 Pb 0.0651 0.5410 0.0000
Pb2 Pb 0.3263 0.2028 0.5000
Cl1 Cl 0.1896 0.7304 0.5000
Cl2 Cl 0.1958 0.0198 0.0000
Cl3 Cl 0.5066 0.1333 0.5000
O1 O 0.3762 0.3076 0.0000
```

---

# 2
# YZrGa
Theoretical powder XRD pattern, Cu Kα X-rays. Input: the PBE geometry in Alexandria.
Peak positions follow from Bragg's law for the DFT cell and can differ from measured ones.

Top 12 peaks for 2θ from 10° to 90°, sorted by position:
| h k l | d [Å] | 2θ (°) | I_rel |
| --- | --- | --- | --- |
| 1 1 1 | 2.822 | 31.7 | 42 |
| 4 0 -2 | 2.772 | 32.3 | 21 |
| 1 1 -2 | 2.724 | 32.9 | 100 |
| 3 1 -1 | 2.592 | 34.6 | 64 |
| 4 0 -3 | 2.474 | 36.3 | 43 |
| 3 1 0 | 2.348 | 38.3 | 42 |
| 0 0 3 | 2.307 | 39.0 | 38 |
| 4 0 0 | 2.300 | 39.2 | 24 |
| 3 1 -3 | 2.187 | 41.3 | 17 |
| 0 2 0 | 1.825 | 50.0 | 26 |
| 7 1 -3 | 1.462 | 63.7 | 22 |
| 0 2 3 | 1.431 | 65.2 | 27 |

```
data_YZrGa
_chemical_formula_sum 'Y4 Zr4 Ga4'
_cell_length_a 11.1659
_cell_length_b 3.6501
_cell_length_c 8.3996
_cell_angle_alpha 90.00
_cell_angle_beta 124.52
_cell_angle_gamma 90.00
_symmetry_space_group_name_H-M 'C 1 2/m 1'
_symmetry_Int_Tables_number 12
_symmetry_space_group_name_Hall '-C 2y'
loop_
_atom_site_label
_atom_site_type_symbol
_atom_site_fract_x
_atom_site_fract_y
_atom_site_fract_z
Y1 Y 0.0820 0.0000 0.3332
Zr1 Zr 0.1614 0.5000 0.0528
Ga1 Ga 0.1339 0.5000 0.6610
```

---

# 3
# Nb2VPt6
Theoretical powder XRD pattern, Cu Kα X-rays. Input: the PBE geometry in Alexandria.
Peak positions follow from Bragg's law for the DFT cell and can differ from measured ones.

Top 12 peaks for 2θ from 10° to 90°, sorted by position:
| h k l | d [Å] | 2θ (°) | I_rel |
| --- | --- | --- | --- |
| 1 0 1 | 3.686 | 24.1 | 21 |
| 0 0 2 | 3.027 | 29.5 | 21 |
| 0 1 2 | 2.536 | 35.4 | 24 |
| 1 1 1 | 2.452 | 36.6 | 15 |
| 2 0 0 | 2.323 | 38.8 | 22 |
| 0 2 1 | 2.169 | 41.6 | 100 |
| 0 0 3 | 2.018 | 44.9 | 13 |
| 2 0 2 | 1.843 | 49.5 | 26 |
| 2 2 0 | 1.341 | 70.2 | 19 |
| 0 2 4 | 1.268 | 74.9 | 19 |
| 4 0 1 | 1.141 | 85.0 | 13 |
| 2 2 3 | 1.117 | 87.3 | 12 |

```
data_Nb2VPt6
_chemical_formula_sum 'Nb2 V1 Pt6'
_cell_length_a 5.3646
_cell_length_b 5.3646
_cell_length_c 6.0540
_cell_angle_alpha 90.00
_cell_angle_beta 90.00
_cell_angle_gamma 120.00
_symmetry_space_group_name_H-M 'P -3 m 1'
_symmetry_Int_Tables_number 164
_symmetry_space_group_name_Hall '-P 3 2"'
loop_
_atom_site_label
_atom_site_type_symbol
_atom_site_fract_x
_atom_site_fract_y
_atom_site_fract_z
Nb1 Nb 0.3333 0.6667 0.3962
V1 V 0.0000 0.0000 0.5000
Pt1 Pt 0.1699 0.3398 0.8089
```